1.
This entry pairs a crystal structure of LaNdPbN with its computed powder diffractogram. Radiation: Cu Kα. Structure: a crystal structure in Alexandria, relaxed with PBE.

Structural model:
```
LaNdPbN
1.0
4.8394 0.0000 0.0000
0.0000 4.8394 0.0000
0.0000 0.0000 9.2927
La Nd Pb N
2 2 2 2
direct
0.2500 0.2500 0.1778 La
0.7500 0.7500 0.8222 La
0.2500 0.7500 0.5000 Nd
0.7500 0.2500 0.5000 Nd
0.2500 0.2500 0.7958 Pb
0.7500 0.7500 0.2042 Pb
0.2500 0.2500 0.4212 N
0.7500 0.7500 0.5788 N
```

The 10 most intense peaks (15° ≤ 2θ ≤ 90°), by angle:
2θ = 26.04°, rel. 25
2θ = 27.78°, rel. 61
2θ = 28.82°, rel. 42
2θ = 32.50°, rel. 100
2θ = 37.16°, rel. 56
2θ = 47.69°, rel. 42
2θ = 53.56°, rel. 20
2θ = 56.33°, rel. 29
2θ = 64.06°, rel. 29
2θ = 81.47°, rel. 20

***

2.
This entry pairs a crystal structure of La4Nd2Pb3N2 with its computed powder diffractogram. Radiation: Cu Kα. Structure: a crystal structure in Alexandria, relaxed with PBE.

Structural model:
```
La4Nd2Pb3N2
1.0
-2.4822 2.4822 13.3339
2.4822 -2.4822 13.3339
2.4822 2.4822 -13.3339
La Nd Pb N
4 2 3 2
direct
0.0862 0.5862 0.5000 La
0.4138 0.9138 0.5000 La
0.5862 0.0862 0.5000 La
0.9138 0.4138 0.5000 La
0.1946 0.1946 0.0000 Nd
0.8054 0.8054 0.0000 Nd
0.3210 0.3210 0.0000 Pb
0.5000 0.5000 0.0000 Pb
0.6790 0.6790 0.0000 Pb
0.1069 0.1069 0.0000 N
0.8931 0.8931 0.0000 N
```

The 10 most intense peaks (15° ≤ 2θ ≤ 90°), by angle:
2θ = 18.18°, rel. 17
2θ = 26.25°, rel. 31
2θ = 28.74°, rel. 18
2θ = 32.50°, rel. 100
2θ = 33.61°, rel. 14
2θ = 36.19°, rel. 53
2θ = 50.21°, rel. 18
2θ = 52.11°, rel. 19
2θ = 61.59°, rel. 14
2θ = 62.77°, rel. 31

***

3.
This entry pairs a crystal structure of LaNd2ReN4 with its computed powder diffractogram. Radiation: Cu Kα. Structure: a crystal structure in Alexandria, relaxed with PBE.

Structural model:
```
LaNd2ReN4
1.0
1.7834 -6.0816 0.0000
1.7834 6.0816 0.0000
0.0000 0.0000 12.1168
La Nd Re N
2 4 2 8
direct
0.1157 0.8843 0.7500 La
0.8843 0.1157 0.2500 La
0.3681 0.6319 0.5397 Nd
0.3681 0.6319 0.9603 Nd
0.6319 0.3681 0.0397 Nd
0.6319 0.3681 0.4603 Nd
0.1515 0.8485 0.2500 Re
0.8485 0.1515 0.7500 Re
0.0000 0.0000 0.0000 N
0.0000 0.0000 0.5000 N
0.2678 0.7322 0.1350 N
0.2678 0.7322 0.3650 N
0.4231 0.5769 0.7500 N
0.5769 0.4231 0.2500 N
0.7322 0.2678 0.6350 N
0.7322 0.2678 0.8650 N
```

The 10 most intense peaks (15° ≤ 2θ ≤ 90°), by angle:
2θ = 16.31°, rel. 22
2θ = 29.37°, rel. 57
2θ = 29.49°, rel. 46
2θ = 29.99°, rel. 97
2θ = 34.32°, rel. 28
2θ = 36.69°, rel. 100
2θ = 42.11°, rel. 31
2θ = 50.76°, rel. 25
2θ = 60.18°, rel. 28
2θ = 61.28°, rel. 22

***

4.
This entry pairs a crystal structure of LaNd2UN4 with its computed powder diffractogram. Radiation: Cu Kα. Structure: a crystal structure in Alexandria, relaxed with PBE.

Structural model:
```
LaNd2UN4
1.0
-2.5527 2.5527 5.1185
2.5527 -2.5527 5.1185
2.5527 2.5527 -5.1185
La Nd U N
1 2 1 4
direct
0.0000 0.0000 0.0000 La
0.5000 0.5000 0.0000 Nd
0.7500 0.2500 0.5000 Nd
0.2500 0.7500 0.5000 U
0.0368 0.5368 0.5000 N
0.2519 0.2519 0.0000 N
0.4632 0.9632 0.5000 N
0.7481 0.7481 0.0000 N
```

The 10 most intense peaks (15° ≤ 2θ ≤ 90°), by angle:
2θ = 30.30°, rel. 100
2θ = 35.13°, rel. 70
2θ = 50.52°, rel. 49
2θ = 59.97°, rel. 16
2θ = 60.09°, rel. 31
2θ = 63.02°, rel. 17
2θ = 82.20°, rel. 14
2θ = 82.31°, rel. 7
2θ = 84.74°, rel. 7
2θ = 84.93°, rel. 15

***

5.
This entry pairs a crystal structure of La2PaNiN4 with its computed powder diffractogram. Radiation: Cu Kα. Structure: a crystal structure in Alexandria, relaxed with PBE.

Structural model:
```
La2PaNiN4
1.0
-3.0959 3.0959 3.0051
3.0959 -3.0959 3.0051
3.0959 3.0959 -3.0051
La Pa Ni N
2 1 1 4
direct
0.0000 0.5000 0.5000 La
0.5000 0.0000 0.5000 La
0.0000 0.0000 0.0000 Pa
0.5000 0.5000 0.0000 Ni
0.0988 0.0988 0.6496 N
0.4492 0.4492 0.3504 N
0.5508 0.9012 0.0000 N
0.9012 0.5508 0.0000 N
```

The 10 most intense peaks (15° ≤ 2θ ≤ 90°), by angle:
2θ = 20.59°, rel. 38
2θ = 28.84°, rel. 100
2θ = 29.73°, rel. 43
2θ = 35.70°, rel. 23
2θ = 41.24°, rel. 46
2θ = 41.90°, rel. 92
2θ = 51.66°, rel. 43
2θ = 67.67°, rel. 20
2θ = 68.14°, rel. 20
2θ = 75.62°, rel. 28

***

6.
This entry pairs a crystal structure of La2NiPtN with its computed powder diffractogram. Radiation: Cu Kα. Structure: a crystal structure in Alexandria, relaxed with PBE.

Structural model:
```
La2NiPtN
1.0
5.1555 0.0000 0.0000
0.0000 5.1555 0.0000
0.0000 0.0000 3.7039
La Ni Pt N
2 1 1 1
direct
0.0000 0.5000 0.0000 La
0.5000 0.0000 0.0000 La
0.0000 0.0000 0.5000 Ni
0.5000 0.5000 0.5000 Pt
0.0000 0.0000 0.0000 N
```

The 10 most intense peaks (15° ≤ 2θ ≤ 90°), by angle:
2θ = 17.20°, rel. 12
2θ = 29.70°, rel. 11
2θ = 34.52°, rel. 100
2θ = 34.80°, rel. 54
2θ = 49.20°, rel. 10
2θ = 50.04°, rel. 19
2θ = 61.67°, rel. 20
2θ = 62.21°, rel. 37
2θ = 72.80°, rel. 12
2θ = 83.94°, rel. 9

***

7.
This entry pairs a crystal structure of LaNp2N4 with its computed powder diffractogram. Radiation: Cu Kα. Structure: a crystal structure in Alexandria, relaxed with PBE.

Structural model:
```
LaNp2N4
1.0
1.7340 -5.6918 0.0000
1.7340 5.6918 0.0000
0.0000 0.0000 10.7524
La Np N
2 4 8
direct
0.1077 0.8923 0.7500 La
0.8923 0.1077 0.2500 La
0.3682 0.6318 0.5685 Np
0.3682 0.6318 0.9315 Np
0.6318 0.3682 0.0685 Np
0.6318 0.3682 0.4315 Np
0.0000 0.0000 0.0000 N
0.0000 0.0000 0.5000 N
0.2678 0.7322 0.1009 N
0.2678 0.7322 0.3991 N
0.4533 0.5467 0.7500 N
0.5467 0.4533 0.2500 N
0.7322 0.2678 0.6009 N
0.7322 0.2678 0.8991 N
```

The 10 most intense peaks (15° ≤ 2θ ≤ 90°), by angle:
2θ = 28.15°, rel. 33
2θ = 29.45°, rel. 100
2θ = 31.43°, rel. 38
2θ = 31.69°, rel. 42
2θ = 35.05°, rel. 21
2θ = 36.07°, rel. 26
2θ = 38.97°, rel. 32
2θ = 50.58°, rel. 20
2θ = 50.92°, rel. 24
2θ = 61.61°, rel. 26

***

8.
This entry pairs a crystal structure of La2Np3N8 with its computed powder diffractogram. Radiation: Cu Kα. Structure: a crystal structure in Alexandria, relaxed with PBE.

Structural model:
```
La2Np3N8
1.0
6.9396 0.0000 0.0000
-3.4698 6.0098 0.0000
0.0000 0.0000 10.6273
La Np N
4 6 16
direct
0.3333 0.6667 0.0000 La
0.3333 0.6667 0.3529 La
0.6667 0.3333 0.5000 La
0.6667 0.3333 0.8529 La
0.1660 0.3319 0.7106 Np
0.1660 0.8340 0.7106 Np
0.3319 0.1660 0.2106 Np
0.6681 0.8340 0.7106 Np
0.8340 0.1660 0.2106 Np
0.8340 0.6681 0.2106 Np
0.0000 0.0000 0.2984 N
0.0000 0.0000 0.7984 N
0.0599 0.5299 0.8186 N
0.1605 0.3211 0.1334 N
0.1605 0.8395 0.1334 N
0.3211 0.1605 0.6334 N
0.3333 0.6667 0.6081 N
0.4701 0.5299 0.8186 N
0.4701 0.9401 0.8186 N
0.5299 0.0599 0.3186 N
0.5299 0.4701 0.3186 N
0.6667 0.3333 0.1081 N
0.6789 0.8395 0.1334 N
0.8395 0.1605 0.6334 N
0.8395 0.6789 0.6334 N
0.9401 0.4701 0.3186 N
```

The 10 most intense peaks (15° ≤ 2θ ≤ 90°), by angle:
2θ = 16.68°, rel. 59
2θ = 22.33°, rel. 22
2θ = 29.26°, rel. 42
2θ = 29.73°, rel. 27
2θ = 30.78°, rel. 35
2θ = 30.93°, rel. 100
2θ = 39.32°, rel. 25
2θ = 47.55°, rel. 25
2θ = 52.76°, rel. 57
2θ = 55.74°, rel. 16